For Ba2Zn2SnGe, a cell relaxed with GGA-PBE gives the theoretical powder X-ray diffraction pattern in this record (Cu Kα).
Neutral-atom scattering factors, no anomalous dispersion.

Structure:
```
data_Ba2Zn2SnGe
_chemical_formula_sum 'Ba2 Zn2 Sn1 Ge1'
_symmetry_space_group_name_H-M 'P -6 m 2'
_symmetry_Int_Tables_number 187
_symmetry_space_group_name_Hall 'P -6 2'
_cell_length_a 4.6172
_cell_length_b 4.6172
_cell_length_c 9.8677
_cell_angle_alpha 90.00
_cell_angle_beta 90.00
_cell_angle_gamma 120.00
loop_
_atom_site_label
_atom_site_fract_x
_atom_site_fract_y
_atom_site_fract_z
Ba1 0.0000 0.0000 0.2412
Zn1 0.3333 0.6667 0.0000
Zn2 0.6667 0.3333 0.5000
Sn1 0.3333 0.6667 0.5000
Ge1 0.6667 0.3333 0.0000
```

Most intense lines, 2θ = 5–70°, sorted by position:
| Position (°2θ) | intensity |
| --- | --- |
| 22.2 | 5 |
| 28.7 | 100 |
| 36.4 | 17 |
| 39.0 | 43 |
| 49.2 | 22 |
| 54.4 | 31 |
| 60.9 | 11 |
| 64.5 | 20 |